No. 1
The following is a computed powder XRD pattern of LiMn3Al2H6O12. It was derived from a crystal structure in the Materials Project, relaxed with GGA+U, using CuKα.

Top 6 peaks for 2θ from 5° to 70°, by intensity:
- 18.6 deg, 4.765 Å, I 100
- 9.3 deg, 9.530 Å, I 65
- 37.4 deg, 2.406 Å, I 37
- 47.8 deg, 1.903 Å, I 33
- 36.8 deg, 2.444 Å, I 21
- 47.1 deg, 1.929 Å, I 17

Cell lengths 5.185, 8.828, 9.700 Å; angles 90.00, 100.75, 90.00 degrees
Space group C2/m (No. 12)
Unique sites:
Li (0.000, 0.000, 0.000) x2
Mn (0.000, 0.165, 0.500) x4
Mn (0.000, 0.500, 0.500) x2
Al (0.000, 0.333, 0.000) x4
H (0.225, 0.500, 0.207) x4
H (0.244, 0.174, 0.207) x8
O (0.170, 0.500, 0.104) x4
O (0.174, 0.000, 0.609) x4
O (0.206, 0.332, 0.601) x8
O (0.218, 0.181, 0.104) x8

---

No. 2
The following is a computed powder XRD pattern of TmMnO3. It was derived from a crystal structure in the Materials Project, relaxed with GGA+U, using CuKα.

Top 6 peaks for 2θ from 5° to 70°, by intensity:
- 33.2 deg, 2.696 Å, I 100
- 25.8 deg, 3.459 Å, I 39
- 48.2 deg, 1.889 Å, I 36
- 60.4 deg, 1.534 Å, I 30
- 51.7 deg, 1.767 Å, I 26
- 34.0 deg, 2.635 Å, I 25

Cell lengths 5.812, 7.454, 5.271 Å; angles 90.00, 90.00, 90.00 degrees
Space group Pnma (No. 62)
Unique sites:
Tm (0.084, 0.250, 0.020) x4
Mn (0.000, 0.000, 0.500) x4
O (0.047, 0.750, 0.374) x4
O (0.173, 0.560, 0.802) x8

---

No. 3
The following is a computed powder XRD pattern of Li2Si5Ni5O16. It was derived from a crystal structure in the Materials Project, relaxed with GGA+U, using CuKα.

Top 6 peaks for 2θ from 5° to 70°, by intensity:
- 8.8 deg, 10.062 Å, I 100
- 22.1 deg, 4.029 Å, I 76
- 36.5 deg, 2.463 Å, I 69
- 35.7 deg, 2.516 Å, I 65
- 25.3 deg, 3.520 Å, I 62
- 21.6 deg, 4.113 Å, I 38

Cell lengths 4.926, 7.008, 10.063 Å; angles 89.24, 89.97, 89.95 degrees
Space group P1 (No. 1)
Unique sites:
Li (0.000, 0.000, 0.000) x1
Li (0.477, 0.494, 0.805) x1
Si (0.345, 0.755, 0.571) x1
Si (0.458, 0.729, 0.069) x1
Si (0.840, 0.263, 0.254) x1
Si (0.964, 0.485, 0.998) x1
Si (0.993, 0.238, 0.760) x1
Ni (0.350, 0.496, 0.323) x1
Ni (0.357, 0.994, 0.306) x1
Ni (0.477, 0.993, 0.814) x1
Ni (0.852, 0.509, 0.518) x1
Ni (0.856, 0.013, 0.509) x1
O (0.014, 0.761, 0.544) x1
O (0.284, 0.549, 0.002) x1
O (0.318, 0.248, 0.779) x1
O (0.384, 0.932, 0.002) x1
O (0.395, 0.738, 0.227) x1
O (0.431, 0.746, 0.726) x1
O (0.457, 0.558, 0.502) x1
O (0.466, 0.947, 0.493) x1
O (0.510, 0.251, 0.268) x1
O (0.781, 0.669, 0.043) x1
O (0.869, 0.045, 0.826) x1
O (0.873, 0.429, 0.847) x1
O (0.890, 0.260, 0.606) x1
O (0.925, 0.292, 0.093) x1
O (0.954, 0.449, 0.331) x1
O (0.964, 0.063, 0.314) x1

---

No. 4
The following is a computed powder XRD pattern of KV2FeAg2O8. It was derived from a crystal structure in the Materials Project, relaxed with GGA+U, using CuKα.

Top 6 peaks for 2θ from 5° to 70°, by intensity:
- 32.3 deg, 2.768 Å, I 100
- 30.3 deg, 2.947 Å, I 78
- 44.9 deg, 2.018 Å, I 33
- 59.7 deg, 1.549 Å, I 31
- 56.4 deg, 1.631 Å, I 26
- 57.7 deg, 1.598 Å, I 23

Cell lengths 5.5366, 5.5366, 7.4733 Å; angles 90.00, 90.00, 120.00 degrees
Space group P-3 (No. 147)
Unique sites:
K (0.0000, 0.0000, 0.0000) x1
V (0.3333, 0.6667, 0.2670) x2
Fe (0.0000, 0.0000, 0.5000) x1
Ag (0.3333, 0.6667, 0.7281) x2
O (0.0778, 0.7490, 0.3403) x6
O (0.3333, 0.6667, 0.0413) x2

---

No. 5
The following is a computed powder XRD pattern of VAsO5. It was derived from a crystal structure in the Materials Project, relaxed with GGA+U, using CuKα.

Top 6 peaks for 2θ from 5° to 70°, by intensity:
- 25.3 deg, 3.523 Å, I 100
- 27.7 deg, 3.219 Å, I 67
- 16.2 deg, 5.466 Å, I 52
- 38.6 deg, 2.333 Å, I 49
- 26.3 deg, 3.394 Å, I 41
- 29.8 deg, 3.003 Å, I 36

Cell lengths 7.980, 6.439, 7.501 Å; angles 90.00, 90.00, 90.00 degrees
Space group Pnma (No. 62)
Unique sites:
V (0.170, 0.250, 0.235) x4
As (0.121, 0.750, 0.115) x4
O (0.062, 0.250, 0.004) x4
O (0.122, 0.541, 0.256) x8
O (0.137, 0.750, 0.670) x4
O (0.200, 0.250, 0.485) x4

---

No. 6
The following is a computed powder XRD pattern of VO2F. It was derived from a crystal structure in the Materials Project, relaxed with GGA+U, using CuKα.

Top 6 peaks for 2θ from 5° to 70°, by intensity:
- 27.5 deg, 3.238 Å, I 100
- 27.4 deg, 3.251 Å, I 84
- 20.3 deg, 4.371 Å, I 60
- 20.5 deg, 4.340 Å, I 59
- 26.9 deg, 3.309 Å, I 51
- 55.5 deg, 1.654 Å, I 48

Cell lengths 5.063, 5.113, 8.425 Å; angles 90.00, 90.00, 90.00 degrees
Space group P2_12_12_1 (No. 19)
Unique sites:
V (0.130, 0.122, 0.131) x4
O (0.043, 0.660, 0.535) x4
O (0.080, 0.397, 0.255) x4
F (0.121, 0.125, 0.615) x4